[1]
Rb2Np2Cl7: theoretical powder diffraction line list (λ = 1.5418 Å (Cu Kα)), based on a cell relaxed with PBE.
Neutral-atom scattering factors, no anomalous dispersion.

Top 6 peaks for 10 to 80 degrees two-theta, sorted by position:
- 11.64°, d 7.601, intensity 63.6
- 20.49°, d 4.334, intensity 46.3
- 20.65°, d 4.302, intensity 46.6
- 22.72°, d 3.914, intensity 100.0
- 35.07°, d 2.559, intensity 44.7
- 35.26°, d 2.546, intensity 44.0

Structure:
abc: 6.9556 6.9556 7.6015
angles: 90.35 90.35 82.07
Element x y z (fractional)
Rb: 0.2361 0.7639 0.0000
Rb: 0.7639 0.2361 0.0000
Np: 0.2792 0.2792 0.4996
Np: 0.7208 0.7208 0.5004
Cl: 0.0000 0.0000 0.5000
Cl: 0.0013 0.5020 0.2699
Cl: 0.4980 0.9987 0.7301
Cl: 0.5000 0.5000 0.2792
Cl: 0.5000 0.5000 0.7208
Cl: 0.5020 0.0013 0.2699
Cl: 0.9987 0.4980 0.7301

---

[2]
Pm2PuTh3S6: theoretical powder diffraction line list (λ = 1.5418 Å (Cu Kα)), based on a cell relaxed with PBE.
Neutral-atom scattering factors, no anomalous dispersion.

Top 6 peaks for 10 to 80 degrees two-theta, sorted by position:
- 26.93°, d 3.311, intensity 24.7
- 27.16°, d 3.283, intensity 48.3
- 31.46°, d 2.844, intensity 100.0
- 44.80°, d 2.023, intensity 25.1
- 45.08°, d 2.011, intensity 24.7
- 45.37°, d 1.999, intensity 24.2

Structure:
abc: 9.0256 9.0256 8.0477
angles: 103.83 103.83 25.75
Element x y z (fractional)
Pm: 0.1654 0.1654 0.3318
Pm: 0.8346 0.8346 0.6682
Pu: 0.5000 0.5000 0.0000
Th: 0.1675 0.1675 0.8358
Th: 0.5000 0.5000 0.5000
Th: 0.8325 0.8325 0.1642
S: 0.9999 0.9999 0.2426
S: 0.0001 0.0001 0.7574
S: 0.3322 0.3322 0.4174
S: 0.3361 0.3361 0.9152
S: 0.6639 0.6639 0.0848
S: 0.6678 0.6678 0.5826